Entry 1:
La7Dy6Ho16: calculated PXRD pattern (Cu Kα (weighted mean of Kα1 and Kα2)), based on a structure optimized by DFT (PBE).

Atomic structure:
abc: 11.289 11.289 11.289
angles: 60.00 60.00 60.00
Fractional coordinates of all 29 atoms:
La (0.000, 0.000, 0.000)
La (0.000, 0.000, 0.500)
La (0.000, 0.500, 0.000)
La (0.000, 0.500, 0.500)
La (0.500, 0.000, 0.000)
La (0.500, 0.000, 0.500)
La (0.500, 0.500, 0.000)
Dy (0.252, 0.252, 0.748)
Dy (0.252, 0.748, 0.252)
Dy (0.252, 0.748, 0.748)
Dy (0.748, 0.252, 0.252)
Dy (0.748, 0.252, 0.748)
Dy (0.748, 0.748, 0.252)
Ho (0.049, 0.650, 0.650)
Ho (0.130, 0.130, 0.130)
Ho (0.130, 0.130, 0.609)
Ho (0.130, 0.609, 0.130)
Ho (0.350, 0.350, 0.350)
Ho (0.350, 0.350, 0.951)
Ho (0.350, 0.951, 0.350)
Ho (0.391, 0.870, 0.870)
Ho (0.609, 0.130, 0.130)
Ho (0.650, 0.049, 0.650)
Ho (0.650, 0.650, 0.049)
Ho (0.650, 0.650, 0.650)
Ho (0.870, 0.391, 0.870)
Ho (0.870, 0.870, 0.391)
Ho (0.870, 0.870, 0.870)
Ho (0.951, 0.350, 0.350)

The 10 most intense peaks (2θ from 5° to 70°), low angle first:
- 24.94 deg, I = 8
- 27.37 deg, I = 6
- 31.71 deg, I = 100
- 33.20 deg, I = 6
- 33.68 deg, I = 6
- 35.57 deg, I = 6
- 40.76 deg, I = 5
- 45.45 deg, I = 14
- 56.48 deg, I = 28
- 66.23 deg, I = 8


Entry 2:
NaHgTe2W: calculated PXRD pattern (Cu Kα (weighted mean of Kα1 and Kα2)), based on a structure optimized by DFT (PBE).

Atomic structure:
abc: 5.674 5.674 5.047
angles: 90.00 90.00 90.00
Fractional coordinates of all 5 atoms:
Na (0.000, 0.000, 0.000)
Hg (0.000, 0.000, 0.500)
Te (0.000, 0.500, 0.500)
Te (0.500, 0.000, 0.500)
W (0.500, 0.500, 0.000)

The 10 most intense peaks (2θ from 5° to 70°), low angle first:
- 17.57 deg, I = 23
- 23.59 deg, I = 100
- 28.42 deg, I = 33
- 31.53 deg, I = 82
- 35.58 deg, I = 30
- 36.32 deg, I = 16
- 39.76 deg, I = 53
- 45.20 deg, I = 31
- 48.27 deg, I = 50
- 58.80 deg, I = 28


Entry 3:
Pm4AgIr3: calculated PXRD pattern (Cu Kα (weighted mean of Kα1 and Kα2)), based on a structure optimized by DFT (PBE).

Atomic structure:
abc: 8.746 8.746 8.746
angles: 33.46 33.46 33.46
Fractional coordinates of all 8 atoms:
Pm (0.121, 0.121, 0.121)
Pm (0.372, 0.372, 0.372)
Pm (0.628, 0.628, 0.628)
Pm (0.879, 0.879, 0.879)
Ag (0.500, 0.500, 0.500)
Ir (0.000, 0.000, 0.000)
Ir (0.248, 0.248, 0.248)
Ir (0.752, 0.752, 0.752)

The 10 most intense peaks (2θ from 5° to 70°), low angle first:
- 10.72 deg, I = 1
- 20.68 deg, I = 1
- 21.59 deg, I = 1
- 24.98 deg, I = 1
- 35.62 deg, I = 100
- 49.06 deg, I = 1
- 51.26 deg, I = 18
- 63.86 deg, I = 9
- 64.02 deg, I = 27
- 67.89 deg, I = 1